[1]
# NiC2
Simulated powder diffraction line list, Cu Kα X-rays. Input: the GGA-PBE geometry in Alexandria.
Peak positions follow from Bragg's law for the DFT cell and can differ from measured ones.

Structure:
```
data_NiC2
_cell_length_a 2.4859
_cell_length_b 2.4859
_cell_length_c 16.2952
_cell_angle_alpha 90.00
_cell_angle_beta 90.00
_cell_angle_gamma 120.00
_space_group_name_H-M_alt 'R 3 m'
_space_group_IT_number 160
_space_group_name_Hall 'R 3 -2"'
loop_
_atom_site_label
_atom_site_type_symbol
_atom_site_fract_x
_atom_site_fract_y
_atom_site_fract_z
Ni1 Ni 0.0000 0.0000 0.0000
C1 C 0.0000 0.0000 0.5356
C2 C 0.0000 0.0000 0.8703
```

Main lines, low angle first (2θ = 5–70°):
| 2theta | I/Imax |
| --- | --- |
| 16.32 | 100 |
| 32.98 | 40 |
| 42.35 | 44 |
| 43.48 | 56 |
| 47.78 | 30 |
| 50.40 | 12 |
| 50.83 | 20 |
| 58.39 | 21 |
| 62.80 | 16 |
| 69.18 | 2 |

***

[2]
# Li4SnO3
Simulated powder diffraction line list, Cu Kα X-rays. Input: the GGA-PBE geometry in Alexandria.
Peak positions follow from Bragg's law for the DFT cell and can differ from measured ones.

Structure:
```
data_Li4SnO3
_cell_length_a 10.1251
_cell_length_b 5.2522
_cell_length_c 8.5347
_cell_angle_alpha 90.00
_cell_angle_beta 115.70
_cell_angle_gamma 90.00
_space_group_name_H-M_alt 'C 1 c 1'
_space_group_IT_number 9
loop_
_space_group_symop_operation_xyz
'x,y,z'
'x,-y,z+1/2'
'x+1/2,y+1/2,z'
'x+1/2,-y+1/2,z+1/2'
loop_
_atom_site_label
_atom_site_type_symbol
_atom_site_fract_x
_atom_site_fract_y
_atom_site_fract_z
Li1 Li 0.0000 0.1703 0.0000
Li2 Li 0.0262 0.2114 0.6709
Li3 Li 0.2916 0.1937 0.1554
Li4 Li 0.3458 0.2369 0.7406
Sn1 Sn 0.1673 0.3293 0.3849
O1 O 0.1551 0.0947 0.5729
O2 O 0.3535 0.4956 0.0758
O3 O 0.4841 0.0620 0.3344
```

Main lines, low angle first (2θ = 5–70°):
| 2theta | I/Imax |
| --- | --- |
| 19.47 | 95 |
| 20.41 | 100 |
| 22.89 | 56 |
| 23.13 | 37 |
| 24.79 | 76 |
| 26.92 | 46 |
| 31.53 | 46 |
| 36.31 | 28 |
| 38.76 | 42 |
| 40.16 | 31 |

***

[3]
# Ce6CN5
Simulated powder diffraction line list, Cu Kα X-rays. Input: the GGA-PBE geometry in Alexandria.
Peak positions follow from Bragg's law for the DFT cell and can differ from measured ones.

Structure:
```
data_Ce6CN5
_cell_length_a 6.2155
_cell_length_b 10.7663
_cell_length_c 6.2147
_cell_angle_alpha 90.00
_cell_angle_beta 109.46
_cell_angle_gamma 90.00
_space_group_name_H-M_alt 'C 1 2/m 1'
_space_group_IT_number 12
loop_
_space_group_symop_operation_xyz
'x,y,z'
'-x,-y,-z'
'-x,y,-z'
'x,-y,z'
'x+1/2,y+1/2,z'
'-x+1/2,-y+1/2,-z'
'-x+1/2,y+1/2,-z'
'x+1/2,-y+1/2,z'
loop_
_atom_site_label
_atom_site_type_symbol
_atom_site_fract_x
_atom_site_fract_y
_atom_site_fract_z
Ce1 Ce 0.2479 0.0000 0.2522
Ce2 Ce 0.2482 0.1681 0.7490
C1 C 0.0000 0.5000 0.0000
N1 N 0.0000 0.0000 0.5000
N2 N 0.0000 0.1668 0.0000
N3 N 0.0000 0.3339 0.5000
```

Main lines, low angle first (2θ = 5–70°):
| 2theta | I/Imax |
| --- | --- |
| 30.51 | 100 |
| 35.37 | 74 |
| 50.89 | 51 |
| 60.51 | 45 |
| 63.50 | 17 |

***

[4]
# CdAs2Br8
Simulated powder diffraction line list, Cu Kα X-rays. Input: the GGA-PBE geometry in Alexandria.
Peak positions follow from Bragg's law for the DFT cell and can differ from measured ones.

Structure:
```
data_CdAs2Br8
_cell_length_a 10.5615
_cell_length_b 11.7654
_cell_length_c 8.3070
_cell_angle_alpha 90.00
_cell_angle_beta 108.09
_cell_angle_gamma 90.00
_space_group_name_H-M_alt 'C 1 2/m 1'
_space_group_IT_number 12
loop_
_space_group_symop_operation_xyz
'x,y,z'
'-x,-y,-z'
'-x,y,-z'
'x,-y,z'
'x+1/2,y+1/2,z'
'-x+1/2,-y+1/2,-z'
'-x+1/2,y+1/2,-z'
'x+1/2,-y+1/2,z'
loop_
_atom_site_label
_atom_site_type_symbol
_atom_site_fract_x
_atom_site_fract_y
_atom_site_fract_z
Cd1 Cd 0.0000 0.0000 0.0000
As1 As 0.1877 0.0000 0.6187
Br1 Br 0.0784 0.5000 0.2772
Br2 Br 0.1377 0.1582 0.7748
Br3 Br 0.2175 0.0000 0.2323
```

Main lines, low angle first (2θ = 5–70°):
| 2theta | I/Imax |
| --- | --- |
| 11.59 | 52 |
| 15.06 | 100 |
| 17.96 | 44 |
| 22.52 | 46 |
| 22.78 | 26 |
| 23.36 | 59 |
| 31.43 | 76 |
| 33.04 | 38 |
| 35.41 | 29 |
| 46.29 | 43 |